Computed powder X-ray diffraction pattern of NaAg2Sn for Cu Kα, 1.54184 Å, from the PBE geometry in the Materials Project.
Kinematic intensities with the Lorentz-polarization factor, no thermal factor.

Largest 9 diffraction maxima, in order of rising 2θ, 5° ≤ 2θ ≤ 70°:
2theta	d_spacing	I (rel.)	(hkl)
22.2	4.008	16	1 1 1
25.7	3.471	6	2 0 0
36.6	2.454	100	2 2 0
43.2	2.093	9	3 1 1
45.2	2.004	2	2 2 2
52.7	1.736	17	4 0 0
57.9	1.593	4	3 3 1
59.6	1.552	2	4 2 0
65.9	1.417	34	4 2 2

Atomic structure:
```
data_NaAg2Sn
_chemical_formula_sum 'Na4 Ag8 Sn4'
_cell_length_a 6.942
_cell_length_b 6.942
_cell_length_c 6.942
_cell_angle_alpha 90.00
_cell_angle_beta 90.00
_cell_angle_gamma 90.00
_space_group_name_H-M_alt 'F m -3 m'
_space_group_IT_number 225
_space_group_name_Hall '-F 4 2 3'
loop_
_atom_site_label
_atom_site_fract_x
_atom_site_fract_y
_atom_site_fract_z
Na1 0.000 0.000 0.000
Ag1 0.250 0.250 0.250
Sn1 0.000 0.000 0.500
```

***

Computed powder X-ray diffraction pattern of Li2PS3 for Cu Kα, 1.54184 Å, from the PBE geometry in the Materials Project.
Kinematic intensities with the Lorentz-polarization factor, no thermal factor.

Largest 10 diffraction maxima, in order of rising 2θ, 5° ≤ 2θ ≤ 70°:
2theta	d_spacing	I (rel.)	(hkl)
16.6	5.335	31	0 2 0
27.7	3.220	47	2 0 0
32.2	2.779	100	1 0 2
32.5	2.757	14	2 1 1
40.5	2.226	8	2 3 1
51.4	1.778	31	0 6 0
51.9	1.761	22	3 0 2
57.2	1.610	5	4 0 0
59.4	1.557	26	2 6 0
61.9	1.498	12	1 6 2

Atomic structure:
```
data_Li2PS3
_chemical_formula_sum 'Li8 P4 S12'
_cell_length_a 6.440
_cell_length_b 10.666
_cell_length_c 6.164
_cell_angle_alpha 90.00
_cell_angle_beta 90.00
_cell_angle_gamma 90.00
_space_group_name_H-M_alt 'P n m a'
_space_group_IT_number 62
_space_group_name_Hall '-P 2ac 2n'
loop_
_atom_site_label
_atom_site_fract_x
_atom_site_fract_y
_atom_site_fract_z
Li1 0.000 0.083 0.244
P1 0.204 0.250 0.750
S1 0.245 0.250 0.422
S2 0.250 0.086 0.914
```

***

Computed powder X-ray diffraction pattern of MgMnCu2SnS4 for Cu Kα, 1.54184 Å, from the PBE geometry in the Materials Project.
Kinematic intensities with the Lorentz-polarization factor, no thermal factor.

Largest 10 diffraction maxima, in order of rising 2θ, 5° ≤ 2θ ≤ 70°:
2theta	d_spacing	I (rel.)	(hkl)
25.8	3.457	74	0 2 2
27.6	3.227	100	2 0 2
30.7	2.915	12	0 0 4
31.1	2.877	25	2 2 0
42.1	2.146	23	0 4 0
44.2	2.048	74	2 2 4
46.9	1.938	18	4 0 0
51.1	1.787	27	2 4 2
51.6	1.770	13	0 2 6
54.3	1.691	18	4 2 2

Atomic structure:
```
data_MgMnCu2SnS4
_chemical_formula_sum 'Mg4 Mn4 Cu8 Sn4 S16'
_cell_length_a 7.753
_cell_length_b 8.585
_cell_length_c 11.661
_cell_angle_alpha 90.00
_cell_angle_beta 90.00
_cell_angle_gamma 90.00
_space_group_name_H-M_alt 'F m m 2'
_space_group_IT_number 42
_space_group_name_Hall 'F 2 -2'
loop_
_atom_site_label
_atom_site_fract_x
_atom_site_fract_y
_atom_site_fract_z
Mg1 0.000 0.000 0.000
Mn1 0.000 0.000 0.737
Cu1 0.250 0.250 0.490
Sn1 0.000 0.000 0.270
S1 0.000 0.216 0.873
S2 0.231 0.000 0.600
```

***

Question: Which formula does entry 1 have?
Answer: NaAg2Sn